Computed XRD peak list
Compound: LiSc2Pt
Radiation: copper Kα
Structure: a crystal structure in the Materials Project, relaxed with GGA-PBE
Kinematic intensities with the Lorentz-polarization factor, no thermal factor.

Structural model:
```
data_LiSc2Pt
_cell_length_a 6.6144
_cell_length_b 6.6144
_cell_length_c 6.6144
_cell_angle_alpha 90.00
_cell_angle_beta 90.00
_cell_angle_gamma 90.00
_space_group_name_H-M_alt 'F m -3 m'
_space_group_IT_number 225
_space_group_name_Hall '-F 4 2 3'
loop_
_atom_site_label
_atom_site_fract_x
_atom_site_fract_y
_atom_site_fract_z
Li1 0.0000 0.0000 0.0000
Sc1 0.2500 0.2500 0.2500
Pt1 0.0000 0.0000 0.5000
```

The 8 most intense peaks (5° ≤ 2θ ≤ 70°), low angle first:
d 3.819, 2θ 23.3, intensity 100.0, (1 1 1)
d 3.307, 2θ 27.0, intensity 16.5, (2 0 0)
d 2.339, 2θ 38.5, intensity 97.1, (2 2 0)
d 1.994, 2θ 45.5, intensity 52.2, (3 1 1)
d 1.654, 2θ 55.6, intensity 16.4, (4 0 0)
d 1.517, 2θ 61.1, intensity 22.0, (3 3 1)
d 1.479, 2θ 62.8, intensity 7.7, (4 2 0)
d 1.350, 2θ 69.6, intensity 32.8, (4 2 2)


Computed XRD peak list
Compound: LiThPt2
Radiation: copper Kα
Structure: a crystal structure in the Materials Project, relaxed with GGA-PBE
Kinematic intensities with the Lorentz-polarization factor, no thermal factor.

Structural model:
```
data_LiThPt2
_cell_length_a 6.8570
_cell_length_b 6.8570
_cell_length_c 6.8570
_cell_angle_alpha 90.00
_cell_angle_beta 90.00
_cell_angle_gamma 90.00
_space_group_name_H-M_alt 'F m -3 m'
_space_group_IT_number 225
_space_group_name_Hall '-F 4 2 3'
loop_
_atom_site_label
_atom_site_fract_x
_atom_site_fract_y
_atom_site_fract_z
Li1 0.0000 0.0000 0.0000
Th1 0.0000 0.0000 0.5000
Pt1 0.2500 0.2500 0.2500
```

The 8 most intense peaks (5° ≤ 2θ ≤ 70°), low angle first:
d 3.959, 2θ 22.5, intensity 29.9, (1 1 1)
d 3.429, 2θ 26.0, intensity 8.1, (2 0 0)
d 2.424, 2θ 37.1, intensity 100.0, (2 2 0)
d 2.067, 2θ 43.8, intensity 16.2, (3 1 1)
d 1.714, 2θ 53.5, intensity 17.8, (4 0 0)
d 1.573, 2θ 58.7, intensity 6.9, (3 3 1)
d 1.533, 2θ 60.4, intensity 3.1, (4 2 0)
d 1.400, 2θ 66.8, intensity 36.8, (4 2 2)


Computed XRD peak list
Compound: Rb2LiS2
Radiation: copper Kα
Structure: a crystal structure in the Materials Project, relaxed with GGA-PBE
Kinematic intensities with the Lorentz-polarization factor, no thermal factor.

Structural model:
```
data_Rb2LiS2
_cell_length_a 5.3512
_cell_length_b 5.3512
_cell_length_c 14.9569
_cell_angle_alpha 90.00
_cell_angle_beta 90.00
_cell_angle_gamma 90.00
_space_group_name_H-M_alt 'P 4/m m m'
_space_group_IT_number 123
_space_group_name_Hall '-P 4 2'
loop_
_atom_site_label
_atom_site_fract_x
_atom_site_fract_y
_atom_site_fract_z
Rb1 0.0000 0.0000 0.1516
Li1 0.0000 0.0000 0.5000
S1 0.0000 0.0000 0.3460
```

The 8 most intense peaks (5° ≤ 2θ ≤ 70°), low angle first:
d 14.957, 2θ 5.9, intensity 18.9, (0 0 1)
d 5.351, 2θ 16.6, intensity 100.0, (1 0 0)
d 3.784, 2θ 23.5, intensity 42.8, (1 1 0)
d 3.065, 2θ 29.1, intensity 26.4, (1 0 4)
d 2.676, 2θ 33.5, intensity 16.5, (2 0 0)
d 2.660, 2θ 33.7, intensity 17.6, (1 1 4)
d 2.393, 2θ 37.6, intensity 23.7, (2 1 0)
d 2.016, 2θ 45.0, intensity 15.0, (2 1 4)


Computed XRD peak list
Compound: Rb2LiTaS4
Radiation: copper Kα
Structure: a crystal structure in the Materials Project, relaxed with GGA-PBE
Kinematic intensities with the Lorentz-polarization factor, no thermal factor.

Structural model:
```
data_Rb2LiTaS4
_cell_length_a 7.2043
_cell_length_b 11.5663
_cell_length_c 12.0614
_cell_angle_alpha 71.53
_cell_angle_beta 87.61
_cell_angle_gamma 83.52
_space_group_name_H-M_alt 'P -1'
_space_group_IT_number 2
loop_
_space_group_symop_operation_xyz
'x,y,z'
'-x,-y,-z'
loop_
_atom_site_label
_atom_site_fract_x
_atom_site_fract_y
_atom_site_fract_z
Rb1 0.1835 0.0969 0.2495
Rb2 0.2353 0.6235 0.7232
Rb3 0.2511 0.1548 0.8575
Rb4 0.2512 0.6505 0.3495
Li1 0.2806 0.4784 0.0716
Li2 0.3242 0.9888 0.5853
Ta1 0.2766 0.2725 0.4854
Ta2 0.2838 0.7692 0.9855
S1 0.0351 0.6605 0.9943
S2 0.0475 0.1445 0.5311
S3 0.2333 0.8942 0.0989
S4 0.2480 0.3998 0.5968
S5 0.2627 0.3788 0.2901
S6 0.3304 0.8822 0.7951
S7 0.4473 0.8531 0.4683
S8 0.4670 0.3731 0.9408
```

The 8 most intense peaks (5° ≤ 2θ ≤ 70°), low angle first:
d 6.011, 2θ 14.7, intensity 29.3, (1 1 1)
d 5.462, 2θ 16.2, intensity 82.1, (0 2 0)
d 5.126, 2θ 17.3, intensity 36.0, (1 1 -1)
d 3.576, 2θ 24.9, intensity 100.0, (2 0 0)
d 3.439, 2θ 25.9, intensity 63.8, (-1 1 3)
d 3.179, 2θ 28.1, intensity 49.4, (0 3 3)
d 2.859, 2θ 31.3, intensity 31.6, (2 -2 0)
d 2.107, 2θ 42.9, intensity 33.8, (-2 4 2)


Computed XRD peak list
Compound: Rb2LiVS4
Radiation: copper Kα
Structure: a crystal structure in the Materials Project, relaxed with GGA-PBE
Kinematic intensities with the Lorentz-polarization factor, no thermal factor.

Structural model:
```
data_Rb2LiVS4
_cell_length_a 5.8934
_cell_length_b 13.4436
_cell_length_c 23.6803
_cell_angle_alpha 90.00
_cell_angle_beta 90.00
_cell_angle_gamma 90.00
_space_group_name_H-M_alt 'F d d d'
_space_group_IT_number 70
loop_
_space_group_symop_operation_xyz
'x,y,z'
'-x,-y,-z'
'-x+1/4,-y+1/4,z'
'x+1/4,y+1/4,-z'
'x,-y+1/4,-z+1/4'
'-x,y+1/4,z+1/4'
'-x+1/4,y,-z+1/4'
'x+1/4,-y,z+1/4'
'x,y+1/2,z+1/2'
'-x,-y+1/2,-z+1/2'
'-x+1/4,-y+3/4,z+1/2'
'x+1/4,y+3/4,-z+1/2'
'x,-y+3/4,-z+3/4'
'-x,y+3/4,z+3/4'
'-x+1/4,y+1/2,-z+3/4'
'x+1/4,-y+1/2,z+3/4'
'x+1/2,y,z+1/2'
'-x+1/2,-y,-z+1/2'
'-x+3/4,-y+1/4,z+1/2'
'x+3/4,y+1/4,-z+1/2'
'x+1/2,-y+1/4,-z+3/4'
'-x+1/2,y+1/4,z+3/4'
'-x+3/4,y,-z+3/4'
'x+3/4,-y,z+3/4'
'x+1/2,y+1/2,z'
'-x+1/2,-y+1/2,-z'
'-x+3/4,-y+3/4,z'
'x+3/4,y+3/4,-z'
'x+1/2,-y+3/4,-z+1/4'
'-x+1/2,y+3/4,z+1/4'
'-x+3/4,y+1/2,-z+1/4'
'x+3/4,-y+1/2,z+1/4'
loop_
_atom_site_label
_atom_site_fract_x
_atom_site_fract_y
_atom_site_fract_z
Rb1 0.1250 0.1250 0.3033
Li1 0.1250 0.1250 0.6250
V1 0.1250 0.1250 0.1250
S1 0.0892 0.2819 0.4271
```

The 8 most intense peaks (5° ≤ 2θ ≤ 70°), low angle first:
d 5.263, 2θ 16.8, intensity 72.7, (1 1 1)
d 3.527, 2θ 25.2, intensity 46.6, (1 3 1)
d 3.403, 2θ 26.2, intensity 62.5, (0 2 6)
d 3.251, 2θ 27.4, intensity 83.1, (1 3 3)
d 2.861, 2θ 31.3, intensity 30.8, (2 0 2)
d 2.849, 2θ 31.4, intensity 100.0, (1 3 5)
d 2.362, 2θ 38.1, intensity 50.7, (2 0 6)
d 1.844, 2θ 49.4, intensity 32.3, (2 0 10)


Computed XRD peak list
Compound: Rb2LiSe2
Radiation: copper Kα
Structure: a crystal structure in the Materials Project, relaxed with GGA-PBE
Kinematic intensities with the Lorentz-polarization factor, no thermal factor.

Structural model:
```
data_Rb2LiSe2
_cell_length_a 3.6567
_cell_length_b 3.6567
_cell_length_c 15.5539
_cell_angle_alpha 90.00
_cell_angle_beta 90.00
_cell_angle_gamma 90.00
_space_group_name_H-M_alt 'P 4/m m m'
_space_group_IT_number 123
_space_group_name_Hall '-P 4 2'
loop_
_atom_site_label
_atom_site_fract_x
_atom_site_fract_y
_atom_site_fract_z
Rb1 0.0000 0.0000 0.1498
Li1 0.0000 0.0000 0.5000
Se1 0.0000 0.0000 0.3464
```

The 8 most intense peaks (5° ≤ 2θ ≤ 70°), low angle first:
d 7.777, 2θ 11.4, intensity 26.6, (0 0 2)
d 3.888, 2θ 22.9, intensity 33.3, (0 0 4)
d 3.657, 2θ 24.3, intensity 100.0, (1 0 0)
d 2.664, 2θ 33.6, intensity 49.0, (1 0 4)
d 2.587, 2θ 34.7, intensity 53.4, (1 1 0)
d 2.153, 2θ 42.0, intensity 26.2, (1 1 4)
d 2.115, 2θ 42.8, intensity 30.8, (1 0 6)
d 1.830, 2θ 49.8, intensity 33.2, (2 0 0)


Computed XRD peak list
Compound: Li3Re
Radiation: copper Kα
Structure: a crystal structure in the Materials Project, relaxed with GGA-PBE
Kinematic intensities with the Lorentz-polarization factor, no thermal factor.

Structural model:
```
data_Li3Re
_cell_length_a 5.4151
_cell_length_b 5.4151
_cell_length_c 4.5172
_cell_angle_alpha 90.00
_cell_angle_beta 90.00
_cell_angle_gamma 120.00
_space_group_name_H-M_alt 'P 63/m m c'
_space_group_IT_number 194
_space_group_name_Hall '-P 6c 2c'
loop_
_atom_site_label
_atom_site_fract_x
_atom_site_fract_y
_atom_site_fract_z
Li1 0.1696 0.3392 0.2500
Re1 0.3333 0.6667 0.7500
```

The 8 most intense peaks (5° ≤ 2θ ≤ 70°), low angle first:
d 4.690, 2θ 18.9, intensity 40.8, (1 0 0)
d 3.253, 2θ 27.4, intensity 100.0, (1 0 1)
d 2.708, 2θ 33.1, intensity 41.3, (1 1 0)
d 2.259, 2θ 39.9, intensity 10.3, (0 0 2)
d 2.081, 2θ 43.5, intensity 36.5, (2 0 1)
d 2.035, 2θ 44.5, intensity 9.2, (1 0 2)
d 1.734, 2θ 52.8, intensity 22.4, (1 1 2)
d 1.650, 2θ 55.7, intensity 28.8, (2 1 1)


- Number 6 is which compound?
  Rb2LiSe2